Diffraction record for LaScS2O. The X-ray powder pattern is simulated, not measured: it uses a cell relaxed with GGA-PBE and Cu Kα (weighted mean of Kα1 and Kα2).
Intensities are scaled so that the largest is 1000.

Crystal structure
```
data_LaScS2O
_cell_length_a 3.906
_cell_length_b 3.906
_cell_length_c 13.443
_cell_angle_alpha 90.00
_cell_angle_beta 90.00
_cell_angle_gamma 90.00
_space_group_name_H-M_alt 'P 4/n m m'
_space_group_IT_number 129
loop_
_space_group_symop_operation_xyz
'x,y,z'
'-x,-y,-z'
'-y+1/2,x,z'
'y+1/2,-x,-z'
'-x+1/2,-y+1/2,z'
'x+1/2,y+1/2,-z'
'y,-x+1/2,z'
'-y,x+1/2,-z'
'x+1/2,-y,-z'
'-x+1/2,y,z'
'-y,-x,-z'
'y,x,z'
'-x,y+1/2,-z'
'x,-y+1/2,z'
'y+1/2,x+1/2,-z'
'-y+1/2,-x+1/2,z'
loop_
_atom_site_label
_atom_site_type_symbol
_atom_site_fract_x
_atom_site_fract_y
_atom_site_fract_z
La1 La 0.250 0.250 0.097
Sc1 Sc 0.250 0.250 0.611
S1 S 0.250 0.250 0.411
S2 S 0.250 0.250 0.785
O1 O 0.250 0.750 0.000
```

Most intense lines, 10° ≤ 2θ ≤ 90°, by intensity:
- d 2.945, 30.36 deg, I 1000, hkl 1 0 3
- d 3.377, 26.39 deg, I 993, hkl 1 0 2
- d 2.762, 32.41 deg, I 962, hkl 1 1 0
- d 2.134, 42.36 deg, I 444, hkl 1 1 4
- d 1.953, 46.49 deg, I 434, hkl 2 0 0
- d 1.690, 54.28 deg, I 415, hkl 2 0 4
- d 1.740, 52.60 deg, I 331, hkl 1 1 6
- d 1.628, 56.54 deg, I 329, hkl 2 1 3
- d 2.548, 35.23 deg, I 303, hkl 1 0 4
- d 3.361, 26.52 deg, I 253, hkl 0 0 4